Entry 1:
The following is a simulated powder X-ray diffraction pattern of Li6Pr. It was derived from the GGA-PBE geometry in Alexandria, using copper Kα.
Lines closer than 0.1° are merged.

Top 10 peaks for 2θ from 10° to 80°, low angle first:
- 18.09 deg, intensity 1000
- 25.70 deg, intensity 294
- 31.61 deg, intensity 688
- 36.66 deg, intensity 173
- 41.17 deg, intensity 250
- 49.17 deg, intensity 400
- 56.30 deg, intensity 149
- 59.64 deg, intensity 112
- 69.08 deg, intensity 161
- 75.04 deg, intensity 113

Structure:
Unit cell a=6.004 b=6.004 c=6.004 alpha=109.47 beta=109.47 gamma=109.47
Positions (direct):
Li  0.250  0.500  0.750
Li  0.250  0.750  0.500
Li  0.500  0.250  0.750
Li  0.500  0.750  0.250
Li  0.750  0.250  0.500
Li  0.750  0.500  0.250
Pr  0.000  0.000  0.000


Entry 2:
The following is a simulated powder X-ray diffraction pattern of Li6PrPt2. It was derived from the GGA-PBE geometry in Alexandria, using copper Kα.
Lines closer than 0.1° are merged.

Top 10 peaks for 2θ from 10° to 80°, low angle first:
- 13.53 deg, intensity 1000
- 22.39 deg, intensity 420
- 24.12 deg, intensity 139
- 25.73 deg, intensity 131
- 28.72 deg, intensity 467
- 31.66 deg, intensity 364
- 39.12 deg, intensity 435
- 43.43 deg, intensity 260
- 45.70 deg, intensity 166
- 56.65 deg, intensity 144

Structure:
Unit cell a=7.303 b=7.303 c=4.167 alpha=106.44 beta=106.44 gamma=65.88
Positions (direct):
Li  0.074  0.409  0.242
Li  0.195  0.805  0.000
Li  0.409  0.074  0.242
Li  0.591  0.926  0.758
Li  0.805  0.195  0.000
Li  0.926  0.591  0.758
Pr  0.500  0.500  0.500
Pt  0.325  0.325  0.825
Pt  0.675  0.675  0.175


Entry 3:
The following is a simulated powder X-ray diffraction pattern of Li2Pr3Pt6. It was derived from the GGA-PBE geometry in Alexandria, using copper Kα.
Lines closer than 0.1° are merged.

Top 10 peaks for 2θ from 10° to 80°, low angle first:
- 12.98 deg, intensity 326
- 26.13 deg, intensity 169
- 29.28 deg, intensity 93
- 34.80 deg, intensity 258
- 39.65 deg, intensity 1000
- 48.11 deg, intensity 82
- 57.32 deg, intensity 168
- 59.04 deg, intensity 128
- 71.94 deg, intensity 313
- 78.01 deg, intensity 50

Structure:
Unit cell a=8.352 b=8.352 c=8.352 alpha=109.47 beta=109.47 gamma=109.47
Positions (direct):
Li  0.000  0.000  0.500
Li  0.000  0.500  0.000
Li  0.500  0.000  0.000
Li  0.500  0.500  0.500
Pr  0.000  0.302  0.302
Pr  0.000  0.698  0.698
Pr  0.302  0.000  0.302
Pr  0.302  0.302  0.000
Pr  0.698  0.000  0.698
Pr  0.698  0.698  0.000
Pt  0.000  0.331  0.669
Pt  0.000  0.669  0.331
Pt  0.331  0.000  0.669
Pt  0.331  0.331  0.662
Pt  0.331  0.662  0.331
Pt  0.331  0.669  0.000
Pt  0.338  0.669  0.669
Pt  0.662  0.331  0.331
Pt  0.669  0.000  0.331
Pt  0.669  0.331  0.000
Pt  0.669  0.338  0.669
Pt  0.669  0.669  0.338


Entry 4:
The following is a simulated powder X-ray diffraction pattern of LiPr4Pu3Te8. It was derived from the GGA-PBE geometry in Alexandria, using copper Kα.
Lines closer than 0.1° are merged.

Top 10 peaks for 2θ from 10° to 80°, low angle first:
- 11.46 deg, intensity 49
- 16.23 deg, intensity 54
- 19.91 deg, intensity 23
- 25.79 deg, intensity 26
- 28.31 deg, intensity 29
- 32.80 deg, intensity 1000
- 47.07 deg, intensity 183
- 58.55 deg, intensity 383
- 68.76 deg, intensity 118
- 78.29 deg, intensity 164

Structure:
Unit cell a=7.720 b=7.720 c=7.728 alpha=90.00 beta=90.00 gamma=90.00
Positions (direct):
Li  0.000  0.000  0.000
Pr  0.000  0.000  0.500
Pr  0.000  0.500  0.500
Pr  0.500  0.000  0.500
Pr  0.500  0.500  0.500
Pu  0.000  0.500  0.000
Pu  0.500  0.000  0.000
Pu  0.500  0.500  0.000
Te  0.251  0.251  0.247
Te  0.251  0.251  0.753
Te  0.251  0.749  0.247
Te  0.251  0.749  0.753
Te  0.749  0.251  0.247
Te  0.749  0.251  0.753
Te  0.749  0.749  0.247
Te  0.749  0.749  0.753


Please write out number 3 again, unchanged.
The following is a simulated powder X-ray diffraction pattern of Li2Pr3Pt6. It was derived from the GGA-PBE geometry in Alexandria, using copper Kα.
Lines closer than 0.1° are merged.

Top 10 peaks for 2θ from 10° to 80°, low angle first:
- 12.98 deg, intensity 326
- 26.13 deg, intensity 169
- 29.28 deg, intensity 93
- 34.80 deg, intensity 258
- 39.65 deg, intensity 1000
- 48.11 deg, intensity 82
- 57.32 deg, intensity 168
- 59.04 deg, intensity 128
- 71.94 deg, intensity 313
- 78.01 deg, intensity 50

Structure:
Unit cell a=8.352 b=8.352 c=8.352 alpha=109.47 beta=109.47 gamma=109.47
Positions (direct):
Li  0.000  0.000  0.500
Li  0.000  0.500  0.000
Li  0.500  0.000  0.000
Li  0.500  0.500  0.500
Pr  0.000  0.302  0.302
Pr  0.000  0.698  0.698
Pr  0.302  0.000  0.302
Pr  0.302  0.302  0.000
Pr  0.698  0.000  0.698
Pr  0.698  0.698  0.000
Pt  0.000  0.331  0.669
Pt  0.000  0.669  0.331
Pt  0.331  0.000  0.669
Pt  0.331  0.331  0.662
Pt  0.331  0.662  0.331
Pt  0.331  0.669  0.000
Pt  0.338  0.669  0.669
Pt  0.662  0.331  0.331
Pt  0.669  0.000  0.331
Pt  0.669  0.331  0.000
Pt  0.669  0.338  0.669
Pt  0.669  0.669  0.338